Computed powder diffraction line list
Compound: Mn5Pt6Au
Radiation: copper Kα
Structure: a crystal structure in Alexandria, relaxed with GGA-PBE
Intensities are scaled so that the largest is 100.

The 10 most intense peaks (2θ = 5–70°), in order of rising 2θ:
d_spacing  intensity
3.585  14.5
2.930  17.8
2.346  7.4
2.268  100.0
2.080  20.2
2.064  19.3
1.792  11.3
1.465  12.9
1.357  12.2
1.353  8.4

Structure:
```
12
Lattice="-2.080 3.584 6.191 2.080 -3.584 6.191 2.080 3.584 -6.191" Properties=species:S:1:pos:R:3 pbc="T T T"
Mn 0.000 0.000 0.000
Mn 2.080 0.000 2.161
Mn 0.000 0.000 4.254
Mn 0.000 0.000 8.127
Mn 0.000 3.584 4.030
Pt 2.080 -1.894 4.090
Pt 2.080 1.616 0.000
Pt 0.000 1.690 2.100
Pt 2.080 1.894 4.090
Pt 0.000 1.969 6.191
Pt 0.000 5.478 2.100
Au 0.000 3.584 0.000
```